Calculated powder XRD pattern of SiC2N6F6 for Cu Kα (λ = 1.5418 Å), from a DFT-relaxed cell (PBE, Alexandria).

Top 6 peaks for 2θ = 10–80°, by angle:
2θ (°)	Rel. int.	h k l
14.75	100.0	1 1 0
22.48	43.8	1 1 1
25.30	26.6	3 1 -1
25.93	30.8	2 0 -2
28.81	54.7	4 0 -1
30.02	20.4	2 2 -1

Atomic structure:
```
data_SiC2N6F6
_cell_length_a 12.412
_cell_length_b 7.086
_cell_length_c 6.966
_cell_angle_alpha 90.00
_cell_angle_beta 114.23
_cell_angle_gamma 90.00
_symmetry_space_group_name_H-M 'C 1 m 1'
_symmetry_Int_Tables_number 8
loop_
_symmetry_equiv_pos_as_xyz
'x,y,z'
'x,-y,z'
'x+1/2,y+1/2,z'
'x+1/2,-y+1/2,z'
loop_
_atom_site_label
_atom_site_type_symbol
_atom_site_fract_x
_atom_site_fract_y
_atom_site_fract_z
Si1 Si 0.000 0.000 0.000
C1 C 0.238 0.000 0.734
C2 C 0.242 0.500 0.294
N1 N 0.124 0.500 0.223
N2 N 0.224 0.179 0.674
N3 N 0.288 0.320 0.323
N4 N 0.289 0.000 0.946
F1 F 0.022 0.181 0.888
F2 F 0.087 0.000 0.241
F3 F 0.368 0.500 0.979
F4 F 0.411 0.324 0.401
```

***

Calculated powder XRD pattern of Sm4C2NF for Cu Kα (λ = 1.5418 Å), from a DFT-relaxed cell (PBE, Alexandria).

Top 6 peaks for 2θ = 10–80°, by angle:
2θ (°)	Rel. int.	h k l
29.92	100.0	1 1 2
34.46	24.3	0 0 4
34.80	49.6	2 0 0
49.79	33.6	2 0 4
50.04	17.3	2 2 0
59.41	30.3	3 1 2

Atomic structure:
```
data_Sm4C2NF
_cell_length_a 5.155
_cell_length_b 5.155
_cell_length_c 10.411
_cell_angle_alpha 90.00
_cell_angle_beta 90.00
_cell_angle_gamma 90.00
_symmetry_space_group_name_H-M 'I -4 m 2'
_symmetry_Int_Tables_number 119
_symmetry_space_group_name_Hall 'I -4 -2'
loop_
_atom_site_label
_atom_site_type_symbol
_atom_site_fract_x
_atom_site_fract_y
_atom_site_fract_z
Sm1 Sm 0.000 0.000 0.238
Sm2 Sm 0.000 0.500 0.004
C1 C 0.000 0.000 0.000
C2 C 0.000 0.500 0.750
N1 N 0.000 0.500 0.250
F1 F 0.000 0.000 0.500
```

***

Calculated powder XRD pattern of NaCF5 for Cu Kα (λ = 1.5418 Å), from a DFT-relaxed cell (PBE, Alexandria).

Top 6 peaks for 2θ = 10–80°, by angle:
2θ (°)	Rel. int.	h k l
22.43	52.2	1 1 0
27.42	100.0	1 1 -1
29.19	67.2	1 1 1
40.54	47.7	2 0 -2
41.71	46.5	0 2 1
42.43	61.8	3 1 0

Atomic structure:
```
data_NaCF5
_cell_length_a 7.192
_cell_length_b 4.765
_cell_length_c 5.229
_cell_angle_alpha 90.00
_cell_angle_beta 96.55
_cell_angle_gamma 90.00
_symmetry_space_group_name_H-M 'C 1 m 1'
_symmetry_Int_Tables_number 8
loop_
_symmetry_equiv_pos_as_xyz
'x,y,z'
'x,-y,z'
'x+1/2,y+1/2,z'
'x+1/2,-y+1/2,z'
loop_
_atom_site_label
_atom_site_type_symbol
_atom_site_fract_x
_atom_site_fract_y
_atom_site_fract_z
Na1 Na 0.000 0.000 0.000
C1 C 0.434 0.000 0.492
F1 F 0.040 0.269 0.496
F2 F 0.187 0.500 0.001
F3 F 0.316 0.000 0.274
F4 F 0.339 0.000 0.698
```